1.
The following is a simulated X-ray diffraction stick pattern of LaZnSn. It was derived from a crystal structure in the Materials Project, relaxed with PBE, using Cu Kα, 1.54184 Å.

Cell lengths 4.628, 4.628, 17.179 Å; angles 90.00, 90.00, 120.00 degrees
Fractional positions:
La (0.000, 0.000, 0.000)
La (0.000, 0.000, 0.250)
La (0.000, 0.000, 0.500)
La (0.000, 0.000, 0.750)
Zn (0.333, 0.667, 0.155)
Zn (0.333, 0.667, 0.345)
Zn (0.667, 0.333, 0.655)
Zn (0.667, 0.333, 0.845)
Sn (0.333, 0.667, 0.616)
Sn (0.333, 0.667, 0.884)
Sn (0.667, 0.333, 0.116)
Sn (0.667, 0.333, 0.384)

Main lines, sorted by position (15° ≤ 2θ ≤ 90°):
- 27.16 deg, intensity 14
- 30.51 deg, intensity 100
- 38.92 deg, intensity 57
- 42.08 deg, intensity 9
- 43.23 deg, intensity 13
- 50.24 deg, intensity 25
- 58.65 deg, intensity 20
- 65.32 deg, intensity 23
- 70.49 deg, intensity 10
- 85.63 deg, intensity 7

***

2.
The following is a simulated X-ray diffraction stick pattern of SrLa3. It was derived from a crystal structure in the Materials Project, relaxed with PBE, using Cu Kα, 1.54184 Å.

Cell lengths 7.816, 7.816, 6.188 Å; angles 90.00, 90.00, 120.00 degrees
Fractional positions:
Sr (0.333, 0.667, 0.250)
Sr (0.667, 0.333, 0.750)
La (0.160, 0.321, 0.750)
La (0.160, 0.840, 0.750)
La (0.321, 0.160, 0.250)
La (0.679, 0.840, 0.750)
La (0.840, 0.160, 0.250)
La (0.840, 0.679, 0.250)

Main lines, sorted by position (15° ≤ 2θ ≤ 90°):
- 26.33 deg, intensity 23
- 28.86 deg, intensity 25
- 30.10 deg, intensity 100
- 39.46 deg, intensity 16
- 46.48 deg, intensity 20
- 51.92 deg, intensity 22
- 55.63 deg, intensity 23
- 56.37 deg, intensity 16
- 75.97 deg, intensity 13
- 78.93 deg, intensity 8

***

3.
The following is a simulated X-ray diffraction stick pattern of SrLa3. It was derived from a crystal structure in the Materials Project, relaxed with PBE, using Cu Kα, 1.54184 Å.

Cell lengths 6.678, 6.678, 6.678 Å; angles 131.98, 131.98, 70.26 degrees
Fractional positions:
Sr (0.000, 0.000, 0.000)
La (0.250, 0.750, 0.500)
La (0.500, 0.500, 0.000)
La (0.750, 0.250, 0.500)

Main lines, sorted by position (15° ≤ 2θ ≤ 90°):
- 28.40 deg, intensity 100
- 32.79 deg, intensity 17
- 32.96 deg, intensity 34
- 47.18 deg, intensity 25
- 47.31 deg, intensity 12
- 55.88 deg, intensity 15
- 56.10 deg, intensity 29
- 58.76 deg, intensity 13
- 76.17 deg, intensity 12
- 78.70 deg, intensity 11

***

4.
The following is a simulated X-ray diffraction stick pattern of Sr3La. It was derived from a crystal structure in the Materials Project, relaxed with PBE, using Cu Kα, 1.54184 Å.

Cell lengths 6.486, 6.486, 6.486 Å; angles 60.00, 60.00, 60.00 degrees
Fractional positions:
Sr (0.000, 0.000, 0.000)
Sr (0.250, 0.250, 0.250)
Sr (0.750, 0.750, 0.750)
La (0.500, 0.500, 0.500)

Main lines, sorted by position (15° ≤ 2θ ≤ 90°):
- 16.74 deg, intensity 3
- 27.50 deg, intensity 100
- 32.37 deg, intensity 2
- 39.29 deg, intensity 19
- 48.63 deg, intensity 41
- 56.78 deg, intensity 13
- 64.22 deg, intensity 18
- 71.22 deg, intensity 4
- 77.95 deg, intensity 21
- 84.50 deg, intensity 2

***

5.
The following is a simulated X-ray diffraction stick pattern of SrLaZr2. It was derived from a crystal structure in the Materials Project, relaxed with PBE, using Cu Kα, 1.54184 Å.

Cell lengths 5.547, 5.547, 5.547 Å; angles 60.00, 60.00, 60.00 degrees
Fractional positions:
Sr (0.000, 0.000, 0.000)
La (0.500, 0.500, 0.500)
Zr (0.250, 0.250, 0.250)
Zr (0.750, 0.750, 0.750)

Main lines, sorted by position (15° ≤ 2θ ≤ 90°):
- 19.60 deg, intensity 3
- 22.67 deg, intensity 1
- 32.28 deg, intensity 100
- 38.04 deg, intensity 2
- 46.29 deg, intensity 18
- 50.73 deg, intensity 1
- 57.56 deg, intensity 37
- 67.55 deg, intensity 11
- 76.85 deg, intensity 16
- 85.82 deg, intensity 4

***

6.
The following is a simulated X-ray diffraction stick pattern of La3Ta. It was derived from a crystal structure in the Materials Project, relaxed with PBE, using Cu Kα, 1.54184 Å.

Cell lengths 6.003, 6.003, 6.003 Å; angles 131.79, 131.79, 70.56 degrees
Fractional positions:
La (0.000, 0.000, 0.000)
La (0.250, 0.750, 0.500)
La (0.750, 0.250, 0.500)
Ta (0.500, 0.500, 0.000)

Main lines, sorted by position (15° ≤ 2θ ≤ 90°):
- 20.25 deg, intensity 1
- 31.61 deg, intensity 100
- 36.66 deg, intensity 50
- 52.82 deg, intensity 35
- 62.87 deg, intensity 42
- 66.01 deg, intensity 12
- 77.95 deg, intensity 6
- 86.54 deg, intensity 18
- 89.38 deg, intensity 17

***

7.
The following is a simulated X-ray diffraction stick pattern of LaTa3. It was derived from a crystal structure in the Materials Project, relaxed with PBE, using Cu Kα, 1.54184 Å.

Cell lengths 6.513, 6.513, 5.086 Å; angles 90.00, 90.00, 120.00 degrees
Fractional positions:
La (0.333, 0.667, 0.250)
La (0.667, 0.333, 0.750)
Ta (0.140, 0.281, 0.750)
Ta (0.140, 0.860, 0.750)
Ta (0.281, 0.140, 0.250)
Ta (0.719, 0.860, 0.750)
Ta (0.860, 0.140, 0.250)
Ta (0.860, 0.719, 0.250)

Main lines, sorted by position (15° ≤ 2θ ≤ 90°):
- 15.71 deg, intensity 21
- 31.73 deg, intensity 23
- 35.29 deg, intensity 29
- 36.43 deg, intensity 100
- 48.18 deg, intensity 14
- 51.84 deg, intensity 13
- 56.52 deg, intensity 13
- 64.08 deg, intensity 19
- 68.41 deg, intensity 15
- 83.89 deg, intensity 8

***

8.
The following is a simulated X-ray diffraction stick pattern of LaTe2. It was derived from a crystal structure in the Materials Project, relaxed with PBE, using Cu Kα, 1.54184 Å.

Cell lengths 9.144, 9.144, 9.293 Å; angles 90.00, 90.00, 90.00 degrees
Fractional positions:
La (0.000, 0.000, 0.000)
La (0.000, 0.500, 0.001)
La (0.244, 0.256, 0.548)
La (0.256, 0.756, 0.548)
La (0.500, 0.000, 0.001)
La (0.500, 0.500, 0.000)
La (0.744, 0.244, 0.548)
La (0.756, 0.744, 0.548)
Te (0.000, 0.000, 0.640)
Te (0.000, 0.500, 0.641)
Te (0.013, 0.748, 0.274)
Te (0.248, 0.513, 0.274)
Te (0.250, 0.250, 0.908)
Te (0.250, 0.750, 0.908)
Te (0.252, 0.013, 0.274)
Te (0.487, 0.248, 0.274)
Te (0.500, 0.000, 0.641)
Te (0.500, 0.500, 0.640)
Te (0.513, 0.752, 0.274)
Te (0.748, 0.987, 0.274)
Te (0.750, 0.250, 0.908)
Te (0.750, 0.750, 0.908)
Te (0.752, 0.487, 0.274)
Te (0.987, 0.252, 0.274)

Main lines, sorted by position (15° ≤ 2θ ≤ 90°):
- 27.59 deg, intensity 22
- 28.82 deg, intensity 41
- 29.25 deg, intensity 100
- 33.78 deg, intensity 95
- 34.99 deg, intensity 47
- 39.42 deg, intensity 64
- 49.56 deg, intensity 35
- 53.71 deg, intensity 27
- 56.97 deg, intensity 21
- 67.89 deg, intensity 23

***

9.
The following is a simulated X-ray diffraction stick pattern of LaTe2. It was derived from a crystal structure in the Materials Project, relaxed with PBE, using Cu Kα, 1.54184 Å.

Cell lengths 9.265, 9.148, 9.149 Å; angles 90.00, 90.01, 90.00 degrees
Fractional positions:
La (0.000, 0.004, 0.000)
La (0.000, 0.496, 0.486)
La (0.000, 0.504, 0.986)
La (0.000, 0.996, 0.500)
La (0.546, 0.250, 0.243)
La (0.546, 0.750, 0.743)
La (0.547, 0.250, 0.743)
La (0.547, 0.750, 0.243)
Te (0.273, 0.001, 0.757)
Te (0.273, 0.999, 0.257)
Te (0.274, 0.240, 0.494)
Te (0.274, 0.259, 0.992)
Te (0.274, 0.499, 0.228)
Te (0.274, 0.501, 0.728)
Te (0.274, 0.741, 0.492)
Te (0.274, 0.760, 0.994)
Te (0.640, 0.001, 0.995)
Te (0.640, 0.499, 0.491)
Te (0.640, 0.501, 0.991)
Te (0.640, 0.999, 0.495)
Te (0.907, 0.250, 0.243)
Te (0.907, 0.250, 0.743)
Te (0.907, 0.750, 0.243)
Te (0.907, 0.750, 0.743)

Main lines, sorted by position (15° ≤ 2θ ≤ 90°):
- 27.58 deg, intensity 22
- 28.91 deg, intensity 41
- 29.25 deg, intensity 100
- 33.80 deg, intensity 95
- 35.06 deg, intensity 47
- 39.40 deg, intensity 64
- 49.60 deg, intensity 35
- 53.75 deg, intensity 27
- 56.94 deg, intensity 21
- 67.88 deg, intensity 23

***

10.
The following is a simulated X-ray diffraction stick pattern of LaTe2. It was derived from a crystal structure in the Materials Project, relaxed with PBE, using Cu Kα, 1.54184 Å.

Cell lengths 9.269, 4.580, 9.269 Å; angles 90.00, 90.00, 90.00 degrees
Fractional positions:
La (0.000, 0.000, 0.000)
La (0.250, 0.475, 0.546)
La (0.500, 0.000, 0.000)
La (0.750, 0.525, 0.546)
Te (0.000, 0.000, 0.640)
Te (0.000, 0.500, 0.272)
Te (0.250, 0.494, 0.906)
Te (0.250, 0.934, 0.273)
Te (0.500, 0.000, 0.640)
Te (0.500, 0.500, 0.272)
Te (0.750, 0.066, 0.273)
Te (0.750, 0.506, 0.906)

Main lines, sorted by position (15° ≤ 2θ ≤ 90°):
- 27.38 deg, intensity 31
- 28.90 deg, intensity 40
- 29.05 deg, intensity 100
- 33.63 deg, intensity 93
- 34.90 deg, intensity 23
- 35.03 deg, intensity 24
- 38.87 deg, intensity 37
- 39.35 deg, intensity 29
- 53.29 deg, intensity 30
- 56.50 deg, intensity 21

***

11.
The following is a simulated X-ray diffraction stick pattern of LaTe. It was derived from a crystal structure in the Materials Project, relaxed with PBE, using Cu Kα, 1.54184 Å.

Cell lengths 4.587, 4.587, 4.587 Å; angles 60.00, 60.00, 60.00 degrees
Fractional positions:
La (0.000, 0.000, 0.000)
Te (0.500, 0.500, 0.500)

Main lines, sorted by position (15° ≤ 2θ ≤ 90°):
- 27.50 deg, intensity 100
- 39.28 deg, intensity 77
- 48.62 deg, intensity 28
- 56.76 deg, intensity 13
- 64.20 deg, intensity 36
- 71.20 deg, intensity 26
- 84.48 deg, intensity 8

***

12.
The following is a simulated X-ray diffraction stick pattern of LaTe2. It was derived from a crystal structure in the Materials Project, relaxed with PBE, using Cu Kα, 1.54184 Å.

Cell lengths 4.560, 4.560, 9.292 Å; angles 90.00, 90.00, 90.00 degrees
Fractional positions:
La (0.250, 0.250, 0.226)
La (0.750, 0.750, 0.774)
Te (0.250, 0.250, 0.866)
Te (0.250, 0.750, 0.500)
Te (0.750, 0.250, 0.500)
Te (0.750, 0.750, 0.134)

Main lines, sorted by position (15° ≤ 2θ ≤ 90°):
- 27.67 deg, intensity 21
- 28.82 deg, intensity 41
- 29.32 deg, intensity 100
- 33.84 deg, intensity 94
- 35.02 deg, intensity 46
- 39.53 deg, intensity 63
- 49.65 deg, intensity 36
- 53.83 deg, intensity 27
- 57.16 deg, intensity 29
- 68.09 deg, intensity 24